(1)
Starting from the GGA-PBE geometry in Alexandria, the powder diffractogram of PmNdGeIr was calculated for λ = 1.5418 Å (Cu Kα).

Atomic structure:
```
data_PmNdGeIr
_chemical_formula_sum 'Pm2 Nd2 Ge2 Ir2'
_cell_length_a 4.200
_cell_length_b 4.257
_cell_length_c 10.868
_cell_angle_alpha 90.00
_cell_angle_beta 90.00
_cell_angle_gamma 90.00
_space_group_name_H-M_alt 'A m m 2'
_space_group_IT_number 38
loop_
_space_group_symop_operation_xyz
'x,y,z'
'-x,-y,z'
'-x,y,z'
'x,-y,z'
'x,y+1/2,z+1/2'
'-x,-y+1/2,z+1/2'
'-x,y+1/2,z+1/2'
'x,-y+1/2,z+1/2'
loop_
_atom_site_label
_atom_site_fract_x
_atom_site_fract_y
_atom_site_fract_z
Pm1 0.000 0.000 0.000
Nd1 0.500 0.000 0.719
Ge1 0.000 0.000 0.293
Ir1 0.500 0.000 0.439
```

Principal peaks in the range 2θ from 15° to 90°, low angle first:
2theta, I_rel, index
31.0, 100.0, 1 1 1
32.5, 33.9, 0 1 3
39.1, 65.8, 1 1 3
39.5, 26.6, 1 0 4
42.5, 25.3, 0 2 0
43.1, 24.3, 2 0 0

***

(2)
Starting from the GGA-PBE geometry in Alexandria, the powder diffractogram of Nd2Ge3IrPt4 was calculated for λ = 1.5418 Å (Cu Kα).

Atomic structure:
```
data_Nd2Ge3IrPt4
_chemical_formula_sum 'Nd2 Ge3 Ir1 Pt4'
_cell_length_a 4.275
_cell_length_b 4.275
_cell_length_c 10.616
_cell_angle_alpha 90.00
_cell_angle_beta 90.00
_cell_angle_gamma 90.00
_space_group_name_H-M_alt 'P -4 m 2'
_space_group_IT_number 115
loop_
_space_group_symop_operation_xyz
'x,y,z'
'y,-x,-z'
'-x,-y,z'
'-y,x,-z'
'-x,y,z'
'-y,-x,-z'
'x,-y,z'
'y,x,-z'
loop_
_atom_site_label
_atom_site_fract_x
_atom_site_fract_y
_atom_site_fract_z
Nd1 0.000 0.500 0.244
Ge1 0.000 0.000 0.000
Ge2 0.000 0.500 0.630
Ir1 0.500 0.500 0.000
Pt1 0.000 0.000 0.500
Pt2 0.000 0.500 0.858
Pt3 0.500 0.500 0.500
```

Principal peaks in the range 2θ from 15° to 90°, low angle first:
2theta, I_rel, index
32.9, 33.7, 1 0 3
34.1, 100.0, 1 1 2
42.3, 57.1, 2 0 0
45.5, 31.8, 1 1 4
47.8, 22.8, 1 0 5
72.1, 23.2, 3 1 2

***

(3)
Starting from the GGA-PBE geometry in Alexandria, the powder diffractogram of NdYGeIr was calculated for λ = 1.5418 Å (Cu Kα).

Atomic structure:
```
data_NdYGeIr
_chemical_formula_sum 'Nd2 Y2 Ge2 Ir2'
_cell_length_a 4.156
_cell_length_b 4.206
_cell_length_c 10.799
_cell_angle_alpha 90.00
_cell_angle_beta 90.00
_cell_angle_gamma 90.00
_space_group_name_H-M_alt 'A m m 2'
_space_group_IT_number 38
loop_
_space_group_symop_operation_xyz
'x,y,z'
'-x,-y,z'
'-x,y,z'
'x,-y,z'
'x,y+1/2,z+1/2'
'-x,-y+1/2,z+1/2'
'-x,y+1/2,z+1/2'
'x,-y+1/2,z+1/2'
loop_
_atom_site_label
_atom_site_fract_x
_atom_site_fract_y
_atom_site_fract_z
Nd1 0.000 0.000 0.000
Y1 0.500 0.000 0.281
Ge1 0.500 0.000 0.576
Ir1 0.000 0.000 0.724
```

Principal peaks in the range 2θ from 15° to 90°, low angle first:
2theta, I_rel, index
31.4, 100.0, 1 1 1
32.7, 34.7, 0 1 3
39.4, 76.4, 1 1 3
39.8, 34.5, 1 0 4
43.0, 27.0, 0 2 0
43.5, 26.1, 2 0 0

***

(4)
Starting from the GGA-PBE geometry in Alexandria, the powder diffractogram of NdZn2GeIr was calculated for λ = 1.5418 Å (Cu Kα).

Atomic structure:
```
data_NdZn2GeIr
_chemical_formula_sum 'Nd2 Zn4 Ge2 Ir2'
_cell_length_a 4.015
_cell_length_b 4.226
_cell_length_c 10.999
_cell_angle_alpha 90.00
_cell_angle_beta 90.00
_cell_angle_gamma 90.00
_space_group_name_H-M_alt 'I m m 2'
_space_group_IT_number 44
loop_
_space_group_symop_operation_xyz
'x,y,z'
'-x,-y,z'
'-x,y,z'
'x,-y,z'
'x+1/2,y+1/2,z+1/2'
'-x+1/2,-y+1/2,z+1/2'
'-x+1/2,y+1/2,z+1/2'
'x+1/2,-y+1/2,z+1/2'
loop_
_atom_site_label
_atom_site_fract_x
_atom_site_fract_y
_atom_site_fract_z
Nd1 0.000 0.000 0.000
Zn1 0.000 0.000 0.619
Zn2 0.000 0.500 0.254
Ge1 0.000 0.000 0.389
Ir1 0.000 0.500 0.755
```

Principal peaks in the range 2θ from 15° to 90°, low angle first:
2theta, I_rel, index
32.3, 23.5, 0 1 3
33.1, 20.0, 1 0 3
34.9, 100.0, 1 1 2
42.8, 24.1, 0 2 0
45.2, 20.6, 2 0 0
45.4, 18.1, 1 1 4

***

(5)
Starting from the GGA-PBE geometry in Alexandria, the powder diffractogram of Ni5Ge2Ir was calculated for λ = 1.5418 Å (Cu Kα).

Atomic structure:
```
data_Ni5Ge2Ir
_chemical_formula_sum 'Ni10 Ge4 Ir2'
_cell_length_a 5.185
_cell_length_b 10.317
_cell_length_c 3.609
_cell_angle_alpha 90.00
_cell_angle_beta 90.00
_cell_angle_gamma 90.00
_space_group_name_H-M_alt 'P b a m'
_space_group_IT_number 55
loop_
_space_group_symop_operation_xyz
'x,y,z'
'-x,-y,-z'
'-x,-y,z'
'x,y,-z'
'x+1/2,-y+1/2,-z'
'-x+1/2,y+1/2,z'
'-x+1/2,y+1/2,-z'
'x+1/2,-y+1/2,z'
loop_
_atom_site_label
_atom_site_fract_x
_atom_site_fract_y
_atom_site_fract_z
Ni1 0.000 0.000 0.000
Ni2 0.009 0.247 0.000
Ni3 0.240 0.870 0.500
Ge1 0.246 0.127 0.500
Ir1 0.000 0.500 0.000
```

Principal peaks in the range 2θ from 15° to 90°, low angle first:
2theta, I_rel, index
43.0, 100.0, 2 0 1
43.1, 99.1, 0 4 1
49.9, 63.6, 2 4 0
50.6, 30.8, 0 0 2
73.8, 37.7, 2 4 2
88.7, 23.2, 4 4 1

***

(6)
Starting from the GGA-PBE geometry in Alexandria, the powder diffractogram of TbNi2Ge2Ir was calculated for λ = 1.5418 Å (Cu Kα).

Atomic structure:
```
data_TbNi2Ge2Ir
_chemical_formula_sum 'Tb1 Ni2 Ge2 Ir1'
_cell_length_a 4.686
_cell_length_b 4.686
_cell_length_c 5.317
_cell_angle_alpha 90.00
_cell_angle_beta 90.00
_cell_angle_gamma 90.00
_space_group_name_H-M_alt 'P 4/m m m'
_space_group_IT_number 123
_space_group_name_Hall '-P 4 2'
loop_
_atom_site_label
_atom_site_fract_x
_atom_site_fract_y
_atom_site_fract_z
Tb1 0.000 0.000 0.000
Ni1 0.500 0.500 0.247
Ge1 0.000 0.500 0.500
Ir1 0.000 0.000 0.500
```

Principal peaks in the range 2θ from 15° to 90°, low angle first:
2theta, I_rel, index
18.9, 61.1, 1 0 0
26.9, 62.1, 1 1 0
38.4, 90.0, 2 0 0
38.9, 100.0, 1 0 2
55.5, 30.7, 2 2 0
55.9, 69.3, 2 1 2

***

(7)
Starting from the GGA-PBE geometry in Alexandria, the powder diffractogram of Np3Ge2Ir7 was calculated for λ = 1.5418 Å (Cu Kα).

Atomic structure:
```
data_Np3Ge2Ir7
_chemical_formula_sum 'Np6 Ge4 Ir14'
_cell_length_a 4.525
_cell_length_b 19.670
_cell_length_c 4.934
_cell_angle_alpha 90.00
_cell_angle_beta 90.00
_cell_angle_gamma 90.00
_space_group_name_H-M_alt 'C m m m'
_space_group_IT_number 65
_space_group_name_Hall '-C 2 2'
loop_
_atom_site_label
_atom_site_fract_x
_atom_site_fract_y
_atom_site_fract_z
Np1 0.000 0.000 0.000
Np2 0.000 0.140 0.000
Ge1 0.000 0.073 0.500
Ir1 0.000 0.221 0.500
Ir2 0.000 0.295 0.000
Ir3 0.000 0.360 0.500
Ir4 0.000 0.500 0.500
```

Principal peaks in the range 2θ from 15° to 90°, low angle first:
2theta, I_rel, index
27.1, 35.5, 1 1 1
36.4, 38.6, 0 0 2
39.8, 30.2, 2 0 0
42.0, 100.0, 1 7 1
55.1, 26.4, 2 0 2
69.4, 23.9, 1 7 3

***

(8)
Starting from the GGA-PBE geometry in Alexandria, the powder diffractogram of Np3Ge3Ir4 was calculated for λ = 1.5418 Å (Cu Kα).

Atomic structure:
```
data_Np3Ge3Ir4
_chemical_formula_sum 'Np12 Ge12 Ir16'
_cell_length_a 9.230
_cell_length_b 9.230
_cell_length_c 9.230
_cell_angle_alpha 90.00
_cell_angle_beta 90.00
_cell_angle_gamma 90.00
_space_group_name_H-M_alt 'I -4 3 d'
_space_group_IT_number 220
_space_group_name_Hall 'I -4bd 2c 3'
loop_
_atom_site_label
_atom_site_fract_x
_atom_site_fract_y
_atom_site_fract_z
Np1 0.000 0.250 0.375
Ge1 0.000 0.250 0.875
Ir1 0.072 0.072 0.072
```

Principal peaks in the range 2θ from 15° to 90°, low angle first:
2theta, I_rel, index
30.6, 84.0, 3 1 0
36.4, 100.0, 3 2 1
43.9, 34.9, 4 2 0
50.4, 19.7, 4 3 1
62.0, 26.2, 6 1 1
75.7, 21.7, 5 5 2

***

(9)
Starting from the GGA-PBE geometry in Alexandria, the powder diffractogram of NpGe3Ir was calculated for λ = 1.5418 Å (Cu Kα).

Atomic structure:
```
data_NpGe3Ir
_chemical_formula_sum 'Np2 Ge6 Ir2'
_cell_length_a 6.048
_cell_length_b 5.629
_cell_length_c 5.782
_cell_angle_alpha 90.00
_cell_angle_beta 90.00
_cell_angle_gamma 90.00
_space_group_name_H-M_alt 'P m n 21'
_space_group_IT_number 31
loop_
_space_group_symop_operation_xyz
'x,y,z'
'-x+1/2,-y,z+1/2'
'-x,y,z'
'x+1/2,-y,z+1/2'
loop_
_atom_site_label
_atom_site_fract_x
_atom_site_fract_y
_atom_site_fract_z
Np1 0.000 0.147 0.000
Ge1 0.000 0.906 0.559
Ge2 0.235 0.307 0.454
Ir1 0.000 0.607 0.258
```

Principal peaks in the range 2θ from 15° to 90°, low angle first:
2theta, I_rel, index
21.3, 61.2, 1 0 1
26.6, 59.8, 1 1 1
35.5, 64.1, 0 2 1
37.2, 100.0, 2 1 1
38.0, 49.3, 1 1 2
46.3, 50.5, 2 1 2

***

(10)
Starting from the GGA-PBE geometry in Alexandria, the powder diffractogram of NpGeIrO6 was calculated for λ = 1.5418 Å (Cu Kα).

Atomic structure:
```
data_NpGeIrO6
_chemical_formula_sum 'Np2 Ge2 Ir2 O12'
_cell_length_a 5.2839
_cell_length_b 5.2839
_cell_length_c 8.6197
_cell_angle_alpha 90.00
_cell_angle_beta 90.00
_cell_angle_gamma 120.00
_space_group_name_H-M_alt 'P -3 1 c'
_space_group_IT_number 163
_space_group_name_Hall '-P 3 2c'
loop_
_atom_site_label
_atom_site_fract_x
_atom_site_fract_y
_atom_site_fract_z
Np1 0.3333 0.6667 0.2500
Ge1 0.3333 0.6667 0.7500
Ir1 0.0000 0.0000 0.0000
O1 0.0295 0.3511 0.6264
```

Principal peaks in the range 2θ from 15° to 90°, low angle first:
2theta, I_rel, index
22.0, 25.1, 1 0 1
28.4, 100.0, 1 0 2
33.9, 53.9, 1 1 0
44.9, 29.6, 2 0 2
55.0, 40.0, 1 1 4
57.4, 28.7, 2 1 2

***

(11)
Starting from the GGA-PBE geometry in Alexandria, the powder diffractogram of Np2GePIr6 was calculated for λ = 1.5418 Å (Cu Kα).

Atomic structure:
```
data_Np2GePIr6
_chemical_formula_sum 'Np4 Ge2 P2 Ir12'
_cell_length_a 5.477
_cell_length_b 8.461
_cell_length_c 7.977
_cell_angle_alpha 90.00
_cell_angle_beta 90.00
_cell_angle_gamma 90.00
_space_group_name_H-M_alt 'P m m n'
_space_group_IT_number 59
loop_
_space_group_symop_operation_xyz
'x,y,z'
'-x,-y,-z'
'-x+1/2,-y+1/2,z'
'x+1/2,y+1/2,-z'
'x+1/2,-y,-z'
'-x+1/2,y,z'
'-x,y+1/2,-z'
'x,-y+1/2,z'
loop_
_atom_site_label
_atom_site_fract_x
_atom_site_fract_y
_atom_site_fract_z
Np1 0.250 0.012 0.225
Ge1 0.250 0.750 0.777
P1 0.250 0.250 0.739
Ir1 0.000 0.250 0.491
Ir2 0.003 0.750 0.032
Ir3 0.250 0.001 0.608
```

Principal peaks in the range 2θ from 15° to 90°, low angle first:
2theta, I_rel, index
30.8, 79.9, 0 2 2
39.2, 100.0, 2 2 0
39.9, 59.1, 2 0 2
42.7, 49.4, 0 4 0
43.5, 47.8, 1 2 3
59.9, 43.0, 2 4 2

***

(12)
Starting from the GGA-PBE geometry in Alexandria, the powder diffractogram of Np2Ge4IrPt3 was calculated for λ = 1.5418 Å (Cu Kα).

Atomic structure:
```
data_Np2Ge4IrPt3
_chemical_formula_sum 'Np2 Ge4 Ir1 Pt3'
_cell_length_a 4.141
_cell_length_b 4.141
_cell_length_c 10.883
_cell_angle_alpha 90.00
_cell_angle_beta 90.00
_cell_angle_gamma 90.00
_space_group_name_H-M_alt 'P -4 m 2'
_space_group_IT_number 115
loop_
_space_group_symop_operation_xyz
'x,y,z'
'y,-x,-z'
'-x,-y,z'
'-y,x,-z'
'-x,y,z'
'-y,-x,-z'
'x,-y,z'
'y,x,-z'
loop_
_atom_site_label
_atom_site_fract_x
_atom_site_fract_y
_atom_site_fract_z
Np1 0.000 0.500 0.245
Ge1 0.000 0.000 0.500
Ge2 0.000 0.500 0.866
Ge3 0.500 0.500 0.500
Ir1 0.500 0.500 0.000
Pt1 0.000 0.000 0.000
Pt2 0.000 0.500 0.641
```

Principal peaks in the range 2θ from 15° to 90°, low angle first:
2theta, I_rel, index
32.8, 52.4, 1 0 3
34.8, 100.0, 1 1 2
43.7, 53.0, 2 0 0
47.2, 33.5, 1 0 5
55.7, 29.3, 2 1 3
66.3, 24.6, 2 1 5

***

(13)
Starting from the GGA-PBE geometry in Alexandria, the powder diffractogram of SmGeIrO was calculated for λ = 1.5418 Å (Cu Kα).

Atomic structure:
```
data_SmGeIrO
_chemical_formula_sum 'Sm2 Ge2 Ir2 O2'
_cell_length_a 4.104
_cell_length_b 4.104
_cell_length_c 8.341
_cell_angle_alpha 90.00
_cell_angle_beta 90.00
_cell_angle_gamma 90.00
_space_group_name_H-M_alt 'P 4/n m m'
_space_group_IT_number 129
loop_
_space_group_symop_operation_xyz
'x,y,z'
'-x,-y,-z'
'-y+1/2,x,z'
'y+1/2,-x,-z'
'-x+1/2,-y+1/2,z'
'x+1/2,y+1/2,-z'
'y,-x+1/2,z'
'-y,x+1/2,-z'
'x+1/2,-y,-z'
'-x+1/2,y,z'
'-y,-x,-z'
'y,x,z'
'-x,y+1/2,-z'
'x,-y+1/2,z'
'y+1/2,x+1/2,-z'
'-y+1/2,-x+1/2,z'
loop_
_atom_site_label
_atom_site_fract_x
_atom_site_fract_y
_atom_site_fract_z
Sm1 0.250 0.250 0.133
Ge1 0.250 0.250 0.665
Ir1 0.250 0.750 0.500
O1 0.250 0.750 0.000
```

Principal peaks in the range 2θ from 15° to 90°, low angle first:
2theta, I_rel, index
30.6, 100.0, 1 0 2
32.7, 98.6, 1 1 1
37.8, 80.4, 1 1 2
44.1, 72.9, 2 0 0
54.2, 66.2, 1 1 4
88.8, 42.0, 3 1 4